Record 1
Calculated powder diffraction line list
Compound: LiV3P3O13
Radiation: Cu Ka
Structure: a cell relaxed with GGA+U

Cell and atoms:
abc: 7.4209 6.3519 10.7293
angles: 90.00 99.32 90.00
Fractional positions:
Li 0.1097 0.2500 0.1326
Li 0.8903 0.7500 0.8674
V 0.1414 0.2500 0.8010
V 0.2721 0.7500 0.4476
V 0.5000 0.0000 0.0000
V 0.5000 0.5000 0.0000
V 0.7279 0.2500 0.5524
V 0.8586 0.7500 0.1990
P 0.1940 0.7500 0.1232
P 0.2373 0.7500 0.7710
P 0.2785 0.2500 0.5229
P 0.7215 0.7500 0.4771
P 0.7627 0.2500 0.2290
P 0.8060 0.2500 0.8768
O 0.0046 0.2500 0.9517
O 0.1177 0.5599 0.7979
O 0.1177 0.9401 0.7979
O 0.1506 0.7500 0.2600
O 0.1573 0.2500 0.6295
O 0.2267 0.0536 0.4413
O 0.2267 0.4464 0.4413
O 0.2948 0.5458 0.0973
O 0.2948 0.9542 0.0973
O 0.2973 0.7500 0.6430
O 0.3611 0.2500 0.9043
O 0.4109 0.7500 0.8796
O 0.4806 0.2500 0.5867
O 0.5194 0.7500 0.4133
O 0.5891 0.2500 0.1204
O 0.6389 0.7500 0.0957
O 0.7027 0.2500 0.3570
O 0.7052 0.0458 0.9027
O 0.7052 0.4542 0.9027
O 0.7733 0.5536 0.5587
O 0.7733 0.9464 0.5587
O 0.8427 0.7500 0.3705
O 0.8494 0.2500 0.7400
O 0.8823 0.0599 0.2021
O 0.8823 0.4401 0.2021
O 0.9954 0.7500 0.0483

Principal peaks in the range 10° ≤ 2θ ≤ 90°, in order of falling intensity:
2θ/deg	d [Å]	I (rel.)
19.03	4.664	100.0
16.27	5.447	86.8
24.33	3.658	81.1
28.10	3.176	76.9
32.39	2.764	71.5
29.83	2.995	71.1
27.03	3.299	65.7
32.25	2.775	62.4
13.54	6.538	50.1
28.94	3.085	39.8

Record 2
Calculated powder diffraction line list
Compound: Li3Fe8B8O24
Radiation: Cu Ka
Structure: a cell relaxed with GGA+U

Cell and atoms:
abc: 5.2196 9.1158 11.3812
angles: 66.80 76.80 89.47
Fractional positions:
Li 0.0000 0.0000 0.0000
Li 0.2180 0.2543 0.4977
Li 0.6862 0.7255 0.2558
Fe 0.2084 0.5589 0.2164
Fe 0.2433 0.9300 0.4649
Fe 0.4689 0.1476 0.7239
Fe 0.5177 0.8399 0.9631
Fe 0.7185 0.0752 0.2208
Fe 0.7257 0.4460 0.4815
Fe 0.9536 0.6503 0.7167
Fe 0.9982 0.3598 0.9722
B 0.0171 0.6901 0.9689
B 0.2081 0.8860 0.2218
B 0.2442 0.6060 0.4657
B 0.4529 0.8164 0.7109
B 0.4970 0.1858 0.9686
B 0.7063 0.4071 0.2172
B 0.7407 0.1049 0.4744
B 0.9595 0.3171 0.7229
O 0.0027 0.0922 0.4745
O 0.0274 0.4249 0.7724
O 0.0855 0.7051 0.5145
O 0.1272 0.4935 0.4333
O 0.1298 0.2107 0.7005
O 0.2225 0.8314 0.6642
O 0.2355 0.6530 0.0230
O 0.3237 0.9751 0.2734
O 0.3410 0.3001 0.9814
O 0.3592 0.7719 0.1894
O 0.4068 0.0734 0.9259
O 0.4395 0.3992 0.2360
O 0.5111 0.6249 0.4453
O 0.5137 0.9259 0.7600
O 0.5933 0.2103 0.5203
O 0.6076 0.6967 0.7127
O 0.6117 0.0182 0.4250
O 0.7176 0.3233 0.6911
O 0.7449 0.1703 0.0010
O 0.8297 0.5098 0.2570
O 0.8551 0.3114 0.1638
O 0.8874 0.8204 0.9699
O 0.9385 0.5905 0.9140
O 0.9597 0.9069 0.1991

Principal peaks in the range 10° ≤ 2θ ≤ 90°, in order of falling intensity:
2θ/deg	d [Å]	I (rel.)
35.40	2.536	100.0
21.47	4.139	96.9
19.68	4.511	81.9
26.18	3.404	77.5
21.56	4.122	61.5
26.43	3.372	56.7
19.50	4.552	46.6
34.36	2.610	36.7
34.29	2.615	35.3
34.00	2.636	30.4

Record 3
Calculated powder diffraction line list
Compound: Li9Mn2Co5O16
Radiation: Cu Ka
Structure: a cell relaxed with GGA+U

Cell and atoms:
abc: 7.7155 7.7155 5.0732
angles: 103.37 103.37 96.54
Fractional positions:
Li 0.0000 0.0000 0.0000
Li 0.1213 0.3660 0.9962
Li 0.2437 0.2404 0.4909
Li 0.3693 0.1250 0.9987
Li 0.5013 0.0036 0.4986
Li 0.6340 0.8787 0.0038
Li 0.7596 0.7563 0.5091
Li 0.8750 0.6307 0.0013
Li 0.9964 0.4987 0.5014
Mn 0.2439 0.7561 0.0000
Mn 0.8782 0.1218 0.5000
Co 0.1240 0.8760 0.5000
Co 0.3751 0.6249 0.5000
Co 0.5014 0.4986 0.0000
Co 0.6274 0.3726 0.5000
Co 0.7529 0.2471 0.0000
O 0.0220 0.7564 0.7462
O 0.1129 0.1139 0.7179
O 0.1357 0.6427 0.2455
O 0.2436 0.9780 0.2538
O 0.2606 0.5159 0.7647
O 0.3573 0.8643 0.7545
O 0.3788 0.3827 0.2606
O 0.4841 0.7394 0.2353
O 0.5168 0.2602 0.7680
O 0.6173 0.6212 0.7394
O 0.6359 0.1286 0.2736
O 0.7398 0.4832 0.2320
O 0.7589 0.0235 0.7499
O 0.8714 0.3641 0.7264
O 0.8861 0.8871 0.2821
O 0.9765 0.2411 0.2501

Principal peaks in the range 10° ≤ 2θ ≤ 90°, in order of falling intensity:
2θ/deg	d [Å]	I (rel.)
18.42	4.816	100.0
44.21	2.049	52.9
43.19	2.095	28.7
36.48	2.463	26.3
63.85	1.458	21.8
63.19	1.471	14.8
35.83	2.506	14.5
37.89	2.375	11.2
58.20	1.585	9.5
47.85	1.901	9.4

Record 4
Calculated powder diffraction line list
Compound: Li3Co2O5
Radiation: Cu Ka
Structure: a cell relaxed with GGA+U

Cell and atoms:
abc: 2.9431 5.0741 12.0169
angles: 95.12 94.45 91.23
Fractional positions:
Li 0.0000 0.0000 0.0000
Li 0.0893 0.7016 0.1990
Li 0.3051 0.0999 0.6014
Li 0.5000 0.5000 0.0000
Li 0.6949 0.9001 0.3986
Li 0.9107 0.2984 0.8010
Co 0.1962 0.3904 0.3984
Co 0.4067 0.8121 0.8091
Co 0.5933 0.1879 0.1909
Co 0.8038 0.6096 0.6016
O 0.0181 0.3442 0.1070
O 0.1755 0.0632 0.2945
O 0.2419 0.7344 0.5026
O 0.3588 0.4887 0.7008
O 0.4459 0.1172 0.8899
O 0.5541 0.8828 0.1101
O 0.6412 0.5113 0.2992
O 0.7581 0.2656 0.4974
O 0.8245 0.9368 0.7055
O 0.9819 0.6558 0.8930

Principal peaks in the range 10° ≤ 2θ ≤ 90°, in order of falling intensity:
2θ/deg	d [Å]	I (rel.)
18.44	4.812	100.0
42.34	2.135	33.3
44.51	2.036	27.5
44.20	2.049	26.9
62.89	1.478	23.8
35.16	2.553	17.6
36.59	2.456	11.7
36.35	2.472	11.4
47.59	1.911	9.8
14.85	5.965	9.1

Record 5
Calculated powder diffraction line list
Compound: Li7Mn5O12
Radiation: Cu Ka
Structure: a cell relaxed with GGA+U

Cell and atoms:
abc: 2.9661 6.0205 12.6958
angles: 76.56 88.24 86.22
Fractional positions:
Li 0.0000 0.0000 0.0000
Li 0.0000 0.5000 0.0000
Li 0.0047 0.3369 0.3311
Li 0.4970 0.8137 0.8496
Li 0.5000 0.5000 0.5000
Li 0.5030 0.1863 0.1504
Li 0.9953 0.6631 0.6689
Mn 0.0159 0.1698 0.6679
Mn 0.4878 0.6639 0.1580
Mn 0.5000 0.0000 0.5000
Mn 0.5122 0.3361 0.8420
Mn 0.9841 0.8302 0.3321
O 0.0132 0.4479 0.1654
O 0.0352 0.1154 0.8305
O 0.0370 0.2409 0.5067
O 0.4546 0.5977 0.3229
O 0.4744 0.9286 0.6619
O 0.4996 0.2539 0.9884
O 0.5004 0.7461 0.0116
O 0.5256 0.0714 0.3381
O 0.5454 0.4023 0.6771
O 0.9630 0.7591 0.4933
O 0.9648 0.8846 0.1695
O 0.9868 0.5521 0.8346

Principal peaks in the range 10° ≤ 2θ ≤ 90°, in order of falling intensity:
2θ/deg	d [Å]	I (rel.)
18.23	4.866	100.0
41.39	2.181	33.9
44.00	2.058	27.6
44.37	2.042	27.6
61.76	1.502	16.0
34.52	2.598	15.8
36.07	2.490	11.3
36.57	2.457	11.2
15.18	5.835	9.1
62.26	1.491	8.3

Record 6
Calculated powder diffraction line list
Compound: Li4MnCu3O8
Radiation: Cu Ka
Structure: a cell relaxed with GGA+U

Cell and atoms:
abc: 5.8828 5.8828 5.8902
angles: 120.03 120.03 60.26
Fractional positions:
Li 0.0000 0.0000 0.0000
Li 0.0000 0.5000 0.5000
Li 0.5000 0.0000 0.5000
Li 0.5000 0.5000 0.0000
Mn 0.0000 0.0000 0.5000
Cu 0.0000 0.5000 0.0000
Cu 0.5000 0.0000 0.0000
Cu 0.5000 0.5000 0.5000
O 0.2316 0.7642 0.2657
O 0.2348 0.2348 0.7354
O 0.2358 0.7684 0.7343
O 0.2607 0.2607 0.2392
O 0.7393 0.7393 0.7608
O 0.7642 0.2316 0.2657
O 0.7652 0.7652 0.2646
O 0.7684 0.2358 0.7343

Principal peaks in the range 10° ≤ 2θ ≤ 90°, in order of falling intensity:
2θ/deg	d [Å]	I (rel.)
18.47	4.803	100.0
43.39	2.085	51.0
63.21	1.471	34.6
35.69	2.516	31.6
43.63	2.075	25.1
37.41	2.404	23.5
47.61	1.910	16.7
35.86	2.504	15.4
57.45	1.604	9.9
62.95	1.477	7.1